Diffraction record for ZrAlCr2O6. The powder XRD pattern is calculated, not measured: it uses the GGA+U geometry in Alexandria and CuKα.
Kinematic intensities with the Lorentz-polarization factor, no thermal factor.

Cell and atoms:
a b c (Å): 5.1136 5.2000 5.5076
angles (deg): 116.22 90.14 119.15
Positions (direct):
Zr 0.0000 0.0000 0.0000
Al 0.4875 0.9768 0.4715
Cr 0.2832 0.5553 0.8489
Cr 0.7937 0.5802 0.3920
O 0.1012 0.7775 0.1861
O 0.2071 0.7950 0.6614
O 0.3979 0.4789 0.1783
O 0.5898 0.4365 0.6621
O 0.7122 0.1076 0.2175
O 0.8288 0.0253 0.6583

Main lines, by intensity (2θ from 15° to 90°):
(1 0 1), 2.814 Å, 2θ 31.8, I = 100.0; (1 1 -1), 2.609 Å, 2θ 34.4, I = 40.0; (0 1 -2), 2.736 Å, 2θ 32.7, I = 38.5; (1 -1 1), 3.736 Å, 2θ 23.8, I = 37.7; (1 -2 1), 2.597 Å, 2θ 34.5, I = 35.4; (1 -1 0), 4.281 Å, 2θ 20.7, I = 33.6; (2 -1 0), 2.557 Å, 2θ 35.1, I = 32.5; (2 -1 2), 1.739 Å, 2θ 52.6, I = 26.1; (0 3 -2), 1.512 Å, 2θ 61.3, I = 22.0; (0 2 0), 1.957 Å, 2θ 46.4, I = 21.3